Starting from a GGA-PBE-relaxed structure, the powder diffractogram of MgCr3Pb was calculated for a wavelength of 1.5418 Å.

Top 8 peaks for 10° ≤ 2θ ≤ 90°, by intensity:
index  2θ/deg  d [Å]  I/Imax
1 0 0  16.86  5.259  100
2 1 0  38.27  2.352  54
2 0 0  34.09  2.630  52
1 1 0  23.93  3.719  50
2 2 0  48.99  1.860  36
3 0 0  52.17  1.753  27
2 1 1  42.08  2.147  24
4 2 0  81.92  1.176  16

Cell and atoms:
```
data_MgCr3Pb
_chemical_formula_sum 'Mg1 Cr3 Pb1'
_symmetry_space_group_name_H-M 'P m -3 m'
_symmetry_Int_Tables_number 221
_symmetry_space_group_name_Hall '-P 4 2 3'
_cell_length_a 5.259
_cell_length_b 5.259
_cell_length_c 5.259
_cell_angle_alpha 90.00
_cell_angle_beta 90.00
_cell_angle_gamma 90.00
loop_
_atom_site_label
_atom_site_type_symbol
_atom_site_fract_x
_atom_site_fract_y
_atom_site_fract_z
Mg1 Mg 0.000 0.000 0.000
Cr1 Cr 0.000 0.500 0.500
Pb1 Pb 0.500 0.500 0.500
```


Starting from a GGA-PBE-relaxed structure, the powder diffractogram of TlGaSn was calculated for a wavelength of 1.5418 Å.

Top 8 peaks for 10° ≤ 2θ ≤ 90°, by intensity:
index  2θ/deg  d [Å]  I/Imax
1 0 2  30.51  2.930  100
1 2 1  31.13  2.873  64
1 -1 0  30.94  2.890  52
2 1 1  38.26  2.352  39
0 1 2  33.99  2.638  36
0 2 -1  34.71  2.584  35
1 1 2  30.57  2.924  23
1 2 -3  63.15  1.472  16

Cell and atoms:
```
data_TlGaSn
_chemical_formula_sum 'Tl2 Ga2 Sn2'
_symmetry_space_group_name_H-M 'P -1'
_symmetry_Int_Tables_number 2
_symmetry_space_group_name_Hall '-P 1'
_cell_length_a 4.705
_cell_length_b 6.194
_cell_length_c 6.383
_cell_angle_alpha 82.03
_cell_angle_beta 68.51
_cell_angle_gamma 68.02
loop_
_atom_site_label
_atom_site_type_symbol
_atom_site_fract_x
_atom_site_fract_y
_atom_site_fract_z
Tl1 Tl 0.087 0.161 0.165
Ga1 Ga 0.357 0.586 0.201
Sn1 Sn 0.332 0.254 0.579
```


Starting from a GGA-PBE-relaxed structure, the powder diffractogram of Tb3ThRu3 was calculated for a wavelength of 1.5418 Å.

Top 8 peaks for 10° ≤ 2θ ≤ 90°, by intensity:
index  2θ/deg  d [Å]  I/Imax
2 2 0  37.67  2.388  100
2 0 2  36.83  2.441  98
2 1 1  32.23  2.777  67
0 1 2  31.51  2.839  38
2 3 2  57.33  1.607  34
0 2 1  26.10  3.414  29
3 0 0  32.47  2.757  27
0 4 2  53.70  1.707  19

Cell and atoms:
```
data_Tb3ThRu3
_chemical_formula_sum 'Tb9 Th3 Ru9'
_symmetry_space_group_name_H-M 'R 3 m'
_symmetry_Int_Tables_number 160
_symmetry_space_group_name_Hall 'R 3 -2"'
_cell_length_a 9.5512
_cell_length_b 9.5512
_cell_length_c 6.0460
_cell_angle_alpha 90.00
_cell_angle_beta 90.00
_cell_angle_gamma 120.00
loop_
_atom_site_label
_atom_site_type_symbol
_atom_site_fract_x
_atom_site_fract_y
_atom_site_fract_z
Tb1 Tb 0.1969 0.3938 0.0000
Th1 Th 0.0000 0.0000 0.7865
Ru1 Ru 0.1701 0.3402 0.5304
```


Starting from a GGA-PBE-relaxed structure, the powder diffractogram of ErNpZn17 was calculated for a wavelength of 1.5418 Å.

Top 8 peaks for 10° ≤ 2θ ≤ 90°, by intensity:
index  2θ/deg  d [Å]  I/Imax
0 3 3  40.47  2.229  100
2 2 0  40.26  2.240  58
3 0 0  34.68  2.587  42
1 1 3  28.46  3.136  37
0 0 6  41.11  2.196  31
0 2 4  35.76  2.511  25
2 2 6  58.92  1.568  23
6 0 0  73.18  1.293  23

Cell and atoms:
```
data_ErNpZn17
_chemical_formula_sum 'Er3 Np3 Zn51'
_symmetry_space_group_name_H-M 'R 3 m'
_symmetry_Int_Tables_number 160
_symmetry_space_group_name_Hall 'R 3 -2"'
_cell_length_a 8.9599
_cell_length_b 8.9599
_cell_length_c 13.1750
_cell_angle_alpha 90.00
_cell_angle_beta 90.00
_cell_angle_gamma 120.00
loop_
_atom_site_label
_atom_site_type_symbol
_atom_site_fract_x
_atom_site_fract_y
_atom_site_fract_z
Er1 Er 0.0000 0.0000 0.0000
Np1 Np 0.0000 0.0000 0.6707
Zn1 Zn 0.0000 0.0000 0.2349
Zn2 Zn 0.0000 0.0000 0.4355
Zn3 Zn 0.0107 0.5054 0.4865
Zn4 Zn 0.0363 0.3690 0.0021
Zn5 Zn 0.1675 0.3350 0.1694
Zn6 Zn 0.1714 0.3428 0.5170
```


Starting from a GGA-PBE-relaxed structure, the powder diffractogram of Ca9In3O2 was calculated for a wavelength of 1.5418 Å.

Top 8 peaks for 10° ≤ 2θ ≤ 90°, by intensity:
index  2θ/deg  d [Å]  I/Imax
2 0 1  31.19  2.868  100
0 2 2  36.17  2.484  59
2 2 0  52.08  1.756  38
0 4 1  61.96  1.498  37
1 0 2  25.36  3.512  35
0 1 1  17.86  4.967  20
2 4 2  87.91  1.111  15
3 0 0  44.69  2.028  15

Cell and atoms:
```
data_Ca9In3O2
_chemical_formula_sum 'Ca9 In3 O2'
_symmetry_space_group_name_H-M 'P -3 m 1'
_symmetry_Int_Tables_number 164
_symmetry_space_group_name_Hall '-P 3 2"'
_cell_length_a 7.0218
_cell_length_b 7.0218
_cell_length_c 8.6103
_cell_angle_alpha 90.00
_cell_angle_beta 90.00
_cell_angle_gamma 120.00
loop_
_atom_site_label
_atom_site_type_symbol
_atom_site_fract_x
_atom_site_fract_y
_atom_site_fract_z
Ca1 Ca 0.0000 0.5000 0.0000
Ca2 Ca 0.1725 0.3450 0.6757
In1 In 0.0000 0.0000 0.0000
In2 In 0.3333 0.6667 0.3375
O1 O 0.3333 0.6667 0.8356
```


Starting from a GGA-PBE-relaxed structure, the powder diffractogram of PrTm2Bi3 was calculated for a wavelength of 1.5418 Å.

Top 8 peaks for 10° ≤ 2θ ≤ 90°, by intensity:
index  2θ/deg  d [Å]  I/Imax
2 0 -2  28.01  3.185  100
0 6 0  40.03  2.252  78
5 3 -3  65.51  1.425  30
2 6 -2  49.54  1.840  21
6 0 -2  72.68  1.301  20
4 0 -4  57.90  1.593  13
0 0 4  49.64  1.837  7
2 0 -6  72.81  1.299  7

Cell and atoms:
```
data_PrTm2Bi3
_chemical_formula_sum 'Pr4 Tm8 Bi12'
_symmetry_space_group_name_H-M 'C 1 2/m 1'
_symmetry_Int_Tables_number 12
_symmetry_space_group_name_Hall '-C 2y'
_cell_length_a 7.806
_cell_length_b 13.528
_cell_length_c 7.795
_cell_angle_alpha 90.00
_cell_angle_beta 109.54
_cell_angle_gamma 90.00
loop_
_atom_site_label
_atom_site_type_symbol
_atom_site_fract_x
_atom_site_fract_y
_atom_site_fract_z
Pr1 Pr 0.000 0.165 0.000
Tm1 Tm 0.000 0.000 0.500
Tm2 Tm 0.000 0.329 0.500
Tm3 Tm 0.000 0.500 0.000
Bi1 Bi 0.237 0.500 0.738
Bi2 Bi 0.248 0.337 0.258
```


Starting from a GGA-PBE-relaxed structure, the powder diffractogram of LiFeRh4 was calculated for a wavelength of 1.5418 Å.

Top 8 peaks for 10° ≤ 2θ ≤ 90°, by intensity:
index  2θ/deg  d [Å]  I/Imax
2 0 -1  41.24  2.189  100
2 0 2  41.50  2.176  98
2 2 1  47.01  1.933  34
0 0 3  47.90  1.899  34
0 1 0  17.05  5.201  29
2 -2 0  49.48  1.842  28
2 -2 3  71.33  1.322  19
1 -1 0  24.16  3.684  19

Cell and atoms:
```
data_LiFeRh4
_chemical_formula_sum 'Li2 Fe2 Rh8'
_symmetry_space_group_name_H-M 'P -1'
_symmetry_Int_Tables_number 2
_symmetry_space_group_name_Hall '-P 1'
_cell_length_a 5.338
_cell_length_b 5.342
_cell_length_c 5.999
_cell_angle_alpha 76.86
_cell_angle_beta 76.91
_cell_angle_gamma 87.25
loop_
_atom_site_label
_atom_site_type_symbol
_atom_site_fract_x
_atom_site_fract_y
_atom_site_fract_z
Li1 Li 0.084 0.083 0.154
Fe1 Fe 0.257 0.257 0.501
Rh1 Rh 0.084 0.574 0.170
Rh2 Rh 0.234 0.766 0.500
Rh3 Rh 0.419 0.418 0.827
Rh4 Rh 0.425 0.916 0.829
```


Starting from a GGA-PBE-relaxed structure, the powder diffractogram of In3S4Cl was calculated for a wavelength of 1.5418 Å.

Top 8 peaks for 10° ≤ 2θ ≤ 90°, by intensity:
index  2θ/deg  d [Å]  I/Imax
2 0 -2  19.27  4.605  100
1 1 2  26.60  3.351  89
2 0 0  14.76  6.002  69
4 2 -2  40.04  2.252  67
5 1 0  39.99  2.255  61
1 3 2  47.70  1.906  60
3 1 0  26.09  3.415  56
3 1 -4  39.23  2.297  54

Cell and atoms:
```
data_In3S4Cl
_chemical_formula_sum 'In12 S16 Cl4'
_symmetry_space_group_name_H-M 'C 1 c 1'
_symmetry_Int_Tables_number 9
_symmetry_space_group_name_Hall 'C -2yc'
_cell_length_a 12.916
_cell_length_b 6.555
_cell_length_c 10.068
_cell_angle_alpha 90.00
_cell_angle_beta 111.67
_cell_angle_gamma 90.00
loop_
_atom_site_label
_atom_site_type_symbol
_atom_site_fract_x
_atom_site_fract_y
_atom_site_fract_z
In1 In 0.000 0.019 0.000
In2 In 0.133 0.467 0.718
In3 In 0.408 0.023 0.851
S1 S 0.105 0.298 0.480
S2 S 0.311 0.332 0.903
S3 S 0.442 0.165 0.600
S4 S 0.498 0.284 0.279
Cl1 Cl 0.210 0.158 0.197
```